(1)
# Ag2Cl3
Simulated X-ray diffraction stick pattern, Cu Ka. Input: DFT lattice parameters and positions (PBE).
Neutral-atom scattering factors, no anomalous dispersion.

Top 8 peaks for 15° ≤ 2θ ≤ 90°, low angle first:
d [Å]  2θ/deg  Rel. int.
4.873  18.20  51
3.574  24.91  54
3.331  26.76  62
2.920  30.61  27
2.437  36.89  23
2.244  40.20  100
1.923  47.27  46
1.460  63.74  23

Structural model:
Lattice parameters (Å, degrees): 7.1864 7.1864 7.1864 55.23 55.23 55.23
Positions (direct):
1 Ag 0.1581 0.1581 0.1581
2 Ag 0.3414 0.3414 0.3414
3 Ag 0.6586 0.6586 0.6586
4 Ag 0.8419 0.8419 0.8419
5 Cl 0.0702 0.4301 0.7497
6 Cl 0.2503 0.9298 0.5699
7 Cl 0.4301 0.7497 0.0702
8 Cl 0.5699 0.2503 0.9298
9 Cl 0.7497 0.0702 0.4301
10 Cl 0.9298 0.5699 0.2503



(2)
# Ag2Cl3
Simulated X-ray diffraction stick pattern, Cu Ka. Input: DFT lattice parameters and positions (PBE).
Neutral-atom scattering factors, no anomalous dispersion.

Top 8 peaks for 15° ≤ 2θ ≤ 90°, low angle first:
d [Å]  2θ/deg  Rel. int.
3.524  25.27  100
3.396  26.24  60
2.938  30.42  28
2.445  36.75  55
2.061  43.93  22
1.984  45.72  45
1.961  46.30  41
1.564  59.06  20

Structural model:
Lattice parameters (Å, degrees): 7.0579 7.0579 7.0579 57.53 57.53 57.53
Positions (direct):
1 Ag 0.0000 0.0000 0.0000
2 Ag 0.2500 0.2500 0.2500
3 Ag 0.5000 0.5000 0.5000
4 Ag 0.7500 0.7500 0.7500
5 Cl 0.1208 0.7500 0.3792
6 Cl 0.2500 0.6208 0.8792
7 Cl 0.3792 0.1208 0.7500
8 Cl 0.6208 0.8792 0.2500
9 Cl 0.7500 0.3792 0.1208
10 Cl 0.8792 0.2500 0.6208